No. 1
# NaH2N
Computed powder diffraction line list, λ = 1.5418 Å (Cu Kα). Input: the PBE geometry in Alexandria.
Kinematic intensities with the Lorentz-polarization factor, no thermal factor.

Cell and atoms:
```
NaH2N
1.0
0.0000 4.3707 5.5060
4.1817 0.0000 5.5060
4.1817 4.3707 0.0000
Na H N
4 8 4
Direct
0.0120 0.0120 0.7380 Na
0.2620 0.2620 0.9880 Na
0.7380 0.7380 0.0120 Na
0.9880 0.9880 0.2620 Na
0.0715 0.5569 0.5780 H
0.2935 0.5780 0.5569 H
0.4220 0.7065 0.9285 H
0.4431 0.9285 0.7065 H
0.5569 0.0715 0.2935 H
0.5780 0.2935 0.0715 H
0.7065 0.4220 0.4431 H
0.9285 0.4431 0.4220 H
0.1048 0.6452 0.6452 N
0.3548 0.8952 0.8952 N
0.6452 0.1048 0.1048 N
0.8952 0.3548 0.3548 N
```

Peak list (10 most intense, 10 to 90 degrees two-theta, by angle)
2θ = 16.73°, rel. 100
2θ = 26.03°, rel. 22
2θ = 26.77°, rel. 47
2θ = 28.45°, rel. 35
2θ = 33.57°, rel. 21
2θ = 40.99°, rel. 16
2θ = 41.31°, rel. 26
2θ = 41.99°, rel. 20
2θ = 43.27°, rel. 20
2θ = 44.52°, rel. 72

No. 2
# TlH3Cl6
Computed powder diffraction line list, λ = 1.5418 Å (Cu Kα). Input: the PBE geometry in Alexandria.
Kinematic intensities with the Lorentz-polarization factor, no thermal factor.

Cell and atoms:
```
TlH3Cl6
1.0
8.7296 5.0400 1.1991
-8.7296 5.0400 1.1991
0.0000 -10.0800 1.1991
Tl H Cl
1 3 6
Direct
0.0000 0.0000 0.0000 Tl
0.2195 0.7096 0.7096 H
0.7096 0.2195 0.7096 H
0.7096 0.7096 0.2195 H
0.0201 0.0201 0.4520 Cl
0.0201 0.4520 0.0201 Cl
0.3693 0.5649 0.5649 Cl
0.4520 0.0201 0.0201 Cl
0.5649 0.3693 0.5649 Cl
0.5649 0.5649 0.3693 Cl
```

Peak list (10 most intense, 10 to 90 degrees two-theta, by angle)
2θ = 10.13°, rel. 100
2θ = 17.60°, rel. 12
2θ = 20.35°, rel. 30
2θ = 27.02°, rel. 13
2θ = 29.34°, rel. 17
2θ = 32.80°, rel. 15
2θ = 35.97°, rel. 15
2θ = 38.91°, rel. 7
2θ = 41.67°, rel. 8
2θ = 44.29°, rel. 6